For Dy4CdCuHg2, a structure optimized by DFT (PBE) gives the calculated powder diffractogram in this record (λ = 1.5418 Å (Cu Kα)).
Kinematic intensities with the Lorentz-polarization factor, no thermal factor.

Structural model:
Cell lengths 5.2021, 5.2021, 25.3353 Å; angles 90.00, 90.00, 120.00 degrees
Space group R-3m (No. 166, hexagonal axes)
Symmetry-distinct sites (fractional):
Dy 0.0000 0.0000 0.1186
Dy 0.0000 0.0000 0.3695
Cd 0.0000 0.0000 0.5000
Cu 0.0000 0.0000 0.0000
Hg 0.0000 0.0000 0.2451

Most intense lines, 2θ = 15–90°, by angle:
| 2θ (°) | I_rel | index |
| --- | --- | --- |
| 34.48 | 100 | 1 1 0 |
| 34.62 | 92 | 0 1 8 |
| 49.67 | 33 | 2 0 8 |
| 61.83 | 53 | 3 0 0 |
| 62.14 | 14 | 1 0 16 |
| 83.10 | 15 | 3 1 8 |